The following is a simulated powder diffractogram of CsAgPbCl4. It was derived from a DFT-relaxed cell (PBE, Alexandria), using Cu Kα (λ = 1.5418 Å).
Kinematic intensities with the Lorentz-polarization factor, no thermal factor.

Structural model:
a b c (Å): 7.1161 7.3681 9.0145
angles (deg): 90.00 99.01 90.00
Space group P2_1/m (No. 11)
Unique sites:
Cs: 0.1915 0.2500 0.0645 (multiplicity 2)
Ag: 0.3735 0.2500 0.6876 (multiplicity 2)
Pb: 0.1778 0.7500 0.4601 (multiplicity 2)
Cl: 0.1109 0.5039 0.7041 (multiplicity 4)
Cl: 0.3007 0.7500 0.1520 (multiplicity 2)
Cl: 0.4326 0.2500 0.4119 (multiplicity 2)

Main lines, sorted by position (10° ≤ 2θ ≤ 90°):
d/Å	2θ/deg	intensity
5.676	15.6	31
4.649	19.1	39
4.215	21.1	100
3.810	23.3	39
3.684	24.2	88
3.132	28.5	56
2.863	31.2	56
2.838	31.5	29
2.700	33.2	52
2.592	34.6	28
2.130	42.4	28
2.120	42.6	35

***

The following is a simulated powder diffractogram of GaGeB. It was derived from a DFT-relaxed cell (PBE, Alexandria), using Cu Kα (λ = 1.5418 Å).
Kinematic intensities with the Lorentz-polarization factor, no thermal factor.

Structural model:
a b c (Å): 5.6129 3.0658 5.8156
angles (deg): 90.00 112.14 90.00
Space group P2_1/m (No. 11)
Unique sites:
Ga: 0.2053 0.2500 0.1234 (multiplicity 2)
Ge: 0.2042 0.2500 0.5517 (multiplicity 2)
B: 0.4687 0.2500 0.9303 (multiplicity 2)

Main lines, sorted by position (10° ≤ 2θ ≤ 90°):
d/Å	2θ/deg	intensity
5.199	17.1	13
2.875	31.1	47
2.693	33.3	11
2.641	33.9	100
2.599	34.5	32
2.091	43.3	12
2.023	44.8	28
1.983	45.8	12
1.875	48.6	32
1.797	50.8	19
1.728	53.0	13
1.533	60.4	11